Diffraction record for Ce8IrRu2. The powder XRD pattern is simulated, not measured: it uses DFT lattice parameters and positions (PBE) and CuKα.

Cell and atoms:
```
data_Ce8IrRu2
_symmetry_space_group_name_H-M 'C 1 2/m 1'
_symmetry_Int_Tables_number 12
_symmetry_space_group_name_Hall '-C 2y'
_cell_length_a 17.203
_cell_length_b 5.333
_cell_length_c 6.158
_cell_angle_alpha 90.00
_cell_angle_beta 110.49
_cell_angle_gamma 90.00
loop_
_atom_site_label
_atom_site_type_symbol
_atom_site_fract_x
_atom_site_fract_y
_atom_site_fract_z
Ce1 Ce 0.021 0.000 0.256
Ce2 Ce 0.095 0.500 0.697
Ce3 Ce 0.176 0.500 0.316
Ce4 Ce 0.207 0.000 0.090
Ir1 Ir 0.000 0.500 0.000
Ru1 Ru 0.164 0.000 0.586
```

Peak list (10 most intense, 2θ from 15° to 90°, by intensity)
2θ (°)  I_rel
34.12  100.0
33.61  71.3
31.30  29.3
40.46  27.7
31.46  27.5
31.21  25.7
60.43  19.1
37.78  17.6
46.52  17.0
37.55  16.7

---

Diffraction record for Pr12Si5Se28. The powder XRD pattern is simulated, not measured: it uses DFT lattice parameters and positions (PBE) and CuKα.

Cell and atoms:
```
data_Pr12Si5Se28
_symmetry_space_group_name_H-M 'P 1'
_symmetry_Int_Tables_number 1
_symmetry_space_group_name_Hall 'P 1'
_cell_length_a 10.676
_cell_length_b 12.221
_cell_length_c 12.292
_cell_angle_alpha 60.27
_cell_angle_beta 64.27
_cell_angle_gamma 90.00
loop_
_atom_site_label
_atom_site_type_symbol
_atom_site_fract_x
_atom_site_fract_y
_atom_site_fract_z
Pr1 Pr 0.000 0.000 0.000
Pr2 Pr 0.000 0.469 0.019
Pr3 Pr 0.097 0.287 0.429
Pr4 Pr 0.108 0.771 0.413
Pr5 Pr 0.217 0.404 0.658
Pr6 Pr 0.239 0.925 0.644
Pr7 Pr 0.510 0.524 0.912
Pr8 Pr 0.523 0.049 0.903
Pr9 Pr 0.645 0.675 0.146
Pr10 Pr 0.648 0.167 0.127
Pr11 Pr 0.736 0.969 0.552
Pr12 Pr 0.749 0.456 0.556
Si1 Si 0.207 0.220 0.119
Si2 Si 0.207 0.728 0.105
Si3 Si 0.538 0.807 0.451
Si4 Si 0.541 0.313 0.443
Si5 Si 0.875 0.705 0.780
Se1 Se 0.014 0.928 0.555
Se2 Se 0.044 0.479 0.513
Se3 Se 0.109 0.637 0.697
Se4 Se 0.131 0.138 0.685
Se5 Se 0.206 0.037 0.115
Se6 Se 0.207 0.540 0.109
Se7 Se 0.284 0.406 0.891
Se8 Se 0.290 0.918 0.880
Se9 Se 0.346 0.250 0.209
Se10 Se 0.362 0.767 0.175
Se11 Se 0.392 0.920 0.368
Se12 Se 0.398 0.430 0.360
Se13 Se 0.455 0.768 0.678
Se14 Se 0.458 0.273 0.670
Se15 Se 0.533 0.617 0.461
Se16 Se 0.546 0.132 0.433
Se17 Se 0.610 0.297 0.873
Se18 Se 0.649 0.774 0.866
Se19 Se 0.707 0.961 0.038
Se20 Se 0.720 0.478 0.017
Se21 Se 0.765 0.952 0.307
Se22 Se 0.768 0.458 0.300
Se23 Se 0.780 0.173 0.614
Se24 Se 0.789 0.672 0.626
Se25 Se 0.960 0.746 0.922
Se26 Se 0.963 0.257 0.952
Se27 Se 0.978 0.731 0.245
Se28 Se 0.983 0.218 0.272
```

Peak list (10 most intense, 2θ from 15° to 90°, by intensity)
2θ (°)  I_rel
34.99  100.0
29.45  97.9
32.54  88.5
38.06  87.7
35.21  83.4
39.17  63.9
24.14  63.0
33.58  62.8
30.82  61.1
33.81  43.4

---

Diffraction record for Nb4Zn5Ga. The powder XRD pattern is simulated, not measured: it uses DFT lattice parameters and positions (PBE) and CuKα.

Cell and atoms:
```
data_Nb4Zn5Ga
_symmetry_space_group_name_H-M 'P m m n'
_symmetry_Int_Tables_number 59
_cell_length_a 8.171
_cell_length_b 9.996
_cell_length_c 4.217
_cell_angle_alpha 90.00
_cell_angle_beta 90.00
_cell_angle_gamma 90.00
loop_
_symmetry_equiv_pos_as_xyz
'x,y,z'
'-x,-y,-z'
'-x+1/2,-y+1/2,z'
'x+1/2,y+1/2,-z'
'x+1/2,-y,-z'
'-x+1/2,y,z'
'-x,y+1/2,-z'
'x,-y+1/2,z'
loop_
_atom_site_label
_atom_site_type_symbol
_atom_site_fract_x
_atom_site_fract_y
_atom_site_fract_z
Nb1 Nb 0.068 0.250 0.149
Nb2 Nb 0.250 0.014 0.856
Zn1 Zn 0.074 0.596 0.345
Zn2 Zn 0.250 0.250 0.634
Ga1 Ga 0.250 0.750 0.864
```

Peak list (10 most intense, 2θ from 15° to 90°, by intensity)
2θ (°)  I_rel
39.38  100.0
34.30  64.8
42.89  54.0
43.88  37.8
40.44  36.5
35.47  32.8
67.54  30.5
43.53  25.9
48.14  24.4
42.03  24.0

---

Diffraction record for CrAgS. The powder XRD pattern is simulated, not measured: it uses DFT lattice parameters and positions (PBE) and CuKα.

Cell and atoms:
```
data_CrAgS
_symmetry_space_group_name_H-M 'P 4/n m m'
_symmetry_Int_Tables_number 129
_cell_length_a 3.385
_cell_length_b 3.385
_cell_length_c 8.866
_cell_angle_alpha 90.00
_cell_angle_beta 90.00
_cell_angle_gamma 90.00
loop_
_symmetry_equiv_pos_as_xyz
'x,y,z'
'-x,-y,-z'
'-y+1/2,x,z'
'y+1/2,-x,-z'
'-x+1/2,-y+1/2,z'
'x+1/2,y+1/2,-z'
'y,-x+1/2,z'
'-y,x+1/2,-z'
'x+1/2,-y,-z'
'-x+1/2,y,z'
'-y,-x,-z'
'y,x,z'
'-x,y+1/2,-z'
'x,-y+1/2,z'
'y+1/2,x+1/2,-z'
'-y+1/2,-x+1/2,z'
loop_
_atom_site_label
_atom_site_type_symbol
_atom_site_fract_x
_atom_site_fract_y
_atom_site_fract_z
Cr1 Cr 0.250 0.250 0.191
Ag1 Ag 0.250 0.250 0.581
S1 S 0.250 0.250 0.870
```

Peak list (10 most intense, 2θ from 15° to 90°, by intensity)
2θ (°)  I_rel
37.58  100.0
40.52  99.7
33.30  70.1
69.81  36.1
54.20  32.0
65.12  18.3
38.98  14.6
30.24  14.5
65.51  13.9
48.97  13.3

---

Diffraction record for TbZn8Ir2. The powder XRD pattern is simulated, not measured: it uses DFT lattice parameters and positions (PBE) and CuKα.

Cell and atoms:
```
data_TbZn8Ir2
_symmetry_space_group_name_H-M 'P 4/m m m'
_symmetry_Int_Tables_number 123
_symmetry_space_group_name_Hall '-P 4 2'
_cell_length_a 6.294
_cell_length_b 6.294
_cell_length_c 5.262
_cell_angle_alpha 90.00
_cell_angle_beta 90.00
_cell_angle_gamma 90.00
loop_
_atom_site_label
_atom_site_type_symbol
_atom_site_fract_x
_atom_site_fract_y
_atom_site_fract_z
Tb1 Tb 0.000 0.000 0.000
Zn1 Zn 0.290 0.290 0.254
Ir1 Ir 0.000 0.500 0.500
```

Peak list (10 most intense, 2θ from 15° to 90°, by intensity)
2θ (°)  I_rel
26.23  100.0
44.90  88.8
40.54  52.7
48.93  37.8
76.81  21.5
71.73  17.8
31.79  17.3
85.80  15.9
22.02  14.1
43.12  14.1

---

Diffraction record for SrLiAc2Se4. The powder XRD pattern is simulated, not measured: it uses DFT lattice parameters and positions (PBE) and CuKα.

Cell and atoms:
```
data_SrLiAc2Se4
_symmetry_space_group_name_H-M 'C m c m'
_symmetry_Int_Tables_number 63
_symmetry_space_group_name_Hall '-C 2c 2'
_cell_length_a 4.343
_cell_length_b 14.529
_cell_length_c 15.314
_cell_angle_alpha 90.00
_cell_angle_beta 90.00
_cell_angle_gamma 90.00
loop_
_atom_site_label
_atom_site_type_symbol
_atom_site_fract_x
_atom_site_fract_y
_atom_site_fract_z
Sr1 Sr 0.000 0.114 0.250
Li1 Li 0.000 0.154 0.750
Ac1 Ac 0.000 0.367 0.060
Se1 Se 0.000 0.000 0.000
Se2 Se 0.000 0.277 0.628
Se3 Se 0.000 0.449 0.250
```

Peak list (10 most intense, 2θ from 15° to 90°, by intensity)
2θ (°)  I_rel
21.30  100.0
30.00  76.4
41.31  69.1
36.42  64.5
28.21  53.2
27.60  48.4
41.57  42.4
31.71  33.6
39.09  26.5
26.31  25.9